The following is a theoretical powder X-ray diffraction pattern of Sr3MgTl2. It was derived from DFT lattice parameters and positions (PBE), using CuKα.
Intensities are scaled so that the largest is 100.

Crystal structure
Unit cell a=4.1197 b=4.1197 c=12.4163 alpha=90.00 beta=90.00 gamma=90.00
Space group P4/mmm (No. 123)
Symmetry-distinct sites (fractional):
Sr 0.0000 0.0000 0.0000 x1
Sr 0.0000 0.0000 0.3251 x2
Mg 0.5000 0.5000 0.5000 x1
Tl 0.5000 0.5000 0.1641 x2

Principal peaks in the range 2θ = 5–70°, by angle:
7.12°, d = 12.416 Å, I = 31, hkl 0 0 1
14.27°, d = 6.208 Å, I = 7, hkl 0 0 2
22.74°, d = 3.910 Å, I = 8, hkl 1 0 1
30.64°, d = 2.918 Å, I = 100, hkl 1 1 0
36.23°, d = 2.479 Å, I = 5, hkl 1 0 4
43.74°, d = 2.069 Å, I = 6, hkl 0 0 6
43.96°, d = 2.060 Å, I = 12, hkl 2 0 0
54.38°, d = 1.687 Å, I = 13, hkl 1 1 6
54.52°, d = 1.683 Å, I = 26, hkl 2 1 3
63.75°, d = 1.460 Å, I = 8, hkl 2 0 6

***

The following is a theoretical powder X-ray diffraction pattern of Tm5MgZn4. It was derived from DFT lattice parameters and positions (PBE), using CuKα.
Intensities are scaled so that the largest is 100.

Crystal structure
Unit cell a=3.5254 b=3.5254 c=18.3245 alpha=90.00 beta=90.00 gamma=90.00
Space group P4/mmm (No. 123)
Symmetry-distinct sites (fractional):
Tm 0.0000 0.0000 0.0000 x1
Tm 0.0000 0.0000 0.1915 x2
Tm 0.0000 0.0000 0.3813 x2
Mg 0.5000 0.5000 0.5000 x1
Zn 0.5000 0.5000 0.0960 x2
Zn 0.5000 0.5000 0.2892 x2

Principal peaks in the range 2θ = 5–70°, by angle:
24.29°, d = 3.665 Å, I = 12, hkl 0 0 5
25.26°, d = 3.525 Å, I = 28, hkl 1 0 0
35.33°, d = 2.541 Å, I = 100, hkl 1 0 5
36.03°, d = 2.493 Å, I = 54, hkl 1 1 0
39.02°, d = 2.308 Å, I = 12, hkl 1 0 6
43.93°, d = 2.061 Å, I = 11, hkl 1 1 5
51.87°, d = 1.763 Å, I = 20, hkl 2 0 0
58.54°, d = 1.577 Å, I = 7, hkl 2 1 0
62.95°, d = 1.476 Å, I = 12, hkl 1 1 10
64.32°, d = 1.448 Å, I = 34, hkl 2 1 5

***

The following is a theoretical powder X-ray diffraction pattern of TbPr2Dy4Er2. It was derived from DFT lattice parameters and positions (PBE), using CuKα.
Intensities are scaled so that the largest is 100.

Crystal structure
Unit cell a=6.0078 b=6.5904 c=8.5449 alpha=80.25 beta=70.96 gamma=66.34
Space group P-1 (No. 2)
Symmetry-distinct sites (fractional):
Tb 0.0000 0.0000 0.0000 x1
Pr 0.2745 0.6738 0.6590 x2
Dy 0.2558 0.4259 0.1128 x2
Dy 0.3841 0.8748 0.2375 x2
Er 0.1728 0.2328 0.5565 x2

Principal peaks in the range 2θ = 5–70°, by angle:
29.80°, d = 2.998 Å, I = 42, hkl 2 1 1
31.20°, d = 2.867 Å, I = 57, hkl 0 2 1
31.59°, d = 2.832 Å, I = 100, hkl 1 -1 2
32.51°, d = 2.754 Å, I = 57, hkl 1 2 -1
32.59°, d = 2.747 Å, I = 47, hkl 1 1 3
42.20°, d = 2.141 Å, I = 17, hkl 2 -1 0
48.20°, d = 1.888 Å, I = 17, hkl 0 1 -4
55.16°, d = 1.665 Å, I = 24, hkl -1 2 3
56.99°, d = 1.616 Å, I = 17, hkl 1 3 4
58.54°, d = 1.577 Å, I = 18, hkl 0 1 5